Record 1
MgH3Ir5: computed PXRD pattern (Cu Kα), based on a DFT-relaxed cell (PBE, Alexandria).

Structural model:
a b c (Å): 4.4569 4.8776 5.5689
angles (deg): 73.63 89.91 63.03
Positions (direct):
Mg 0.0000 0.0000 0.0000
H 0.3642 0.0010 0.4044
H 0.4880 0.0028 0.0283
H 0.6632 0.7991 0.8045
Ir 0.2854 0.4352 0.8896
Ir 0.3013 0.4041 0.4074
Ir 0.7119 0.5792 0.5895
Ir 0.7179 0.5650 0.1179
Ir 0.9906 0.9913 0.4978

Peak list (10 most intense, 2θ = 15–90°, low angle first)
- 16.8 deg, 5.285 Å, intensity 26.9
- 21.5 deg, 4.125 Å, intensity 81.0
- 38.1 deg, 2.361 Å, intensity 54.7
- 38.4 deg, 2.345 Å, intensity 47.0
- 38.5 deg, 2.336 Å, intensity 45.2
- 40.5 deg, 2.228 Å, intensity 75.5
- 44.0 deg, 2.056 Å, intensity 48.7
- 44.2 deg, 2.050 Å, intensity 48.9
- 44.3 deg, 2.046 Å, intensity 100.0
- 76.3 deg, 1.248 Å, intensity 29.7

Record 2
Sc7Ta: computed PXRD pattern (Cu Kα), based on a DFT-relaxed cell (PBE, Alexandria).

Structural model:
a b c (Å): 6.3765 6.3765 6.3765
angles (deg): 60.00 60.00 60.00
Positions (direct):
Sc 0.0000 0.0000 0.0000
Sc 0.0000 0.0000 0.5000
Sc 0.0000 0.5000 0.0000
Sc 0.0000 0.5000 0.5000
Sc 0.5000 0.0000 0.0000
Sc 0.5000 0.0000 0.5000
Sc 0.5000 0.5000 0.0000
Ta 0.5000 0.5000 0.5000

Peak list (10 most intense, 2θ = 15–90°, low angle first)
- 17.0 deg, 5.206 Å, intensity 39.3
- 19.7 deg, 4.509 Å, intensity 21.3
- 28.0 deg, 3.188 Å, intensity 18.6
- 32.9 deg, 2.719 Å, intensity 24.7
- 34.5 deg, 2.603 Å, intensity 100.0
- 40.0 deg, 2.254 Å, intensity 48.7
- 43.8 deg, 2.069 Å, intensity 11.7
- 45.0 deg, 2.016 Å, intensity 10.9
- 57.8 deg, 1.594 Å, intensity 31.0
- 69.1 deg, 1.359 Å, intensity 35.2

Record 3
Be5CoCu4: computed PXRD pattern (Cu Kα), based on a DFT-relaxed cell (PBE, Alexandria).

Structural model:
a b c (Å): 2.6903 2.6903 13.1866
angles (deg): 90.00 90.00 90.00
Positions (direct):
Be 0.0000 0.0000 0.0000
Be 0.0000 0.0000 0.1990
Be 0.0000 0.0000 0.4110
Be 0.0000 0.0000 0.5890
Be 0.0000 0.0000 0.8010
Co 0.5000 0.5000 0.5000
Cu 0.5000 0.5000 0.1016
Cu 0.5000 0.5000 0.3034
Cu 0.5000 0.5000 0.6966
Cu 0.5000 0.5000 0.8984

Peak list (10 most intense, 2θ = 15–90°, low angle first)
- 33.3 deg, 2.690 Å, intensity 100.0
- 34.0 deg, 2.637 Å, intensity 47.3
- 47.8 deg, 1.902 Å, intensity 49.4
- 48.3 deg, 1.883 Å, intensity 94.7
- 60.0 deg, 1.543 Å, intensity 33.4
- 69.9 deg, 1.345 Å, intensity 14.5
- 79.7 deg, 1.203 Å, intensity 13.3
- 80.1 deg, 1.198 Å, intensity 13.2
- 81.2 deg, 1.184 Å, intensity 12.6
- 89.5 deg, 1.095 Å, intensity 29.3

Record 4
Dy8InCu2: computed PXRD pattern (Cu Kα), based on a DFT-relaxed cell (PBE, Alexandria).

Structural model:
a b c (Å): 8.8106 8.8106 7.6856
angles (deg): 113.14 113.14 32.87
Positions (direct):
Dy 0.0486 0.0486 0.2552
Dy 0.1819 0.1819 0.7791
Dy 0.3151 0.3151 0.5199
Dy 0.4017 0.4017 0.0259
Dy 0.5983 0.5983 0.9741
Dy 0.6849 0.6849 0.4801
Dy 0.8181 0.8181 0.2209
Dy 0.9514 0.9514 0.7448
In 0.5000 0.5000 0.5000
Cu 0.1912 0.1912 0.1509
Cu 0.8088 0.8088 0.8491

Peak list (10 most intense, 2θ = 15–90°, low angle first)
- 29.7 deg, 3.006 Å, intensity 42.9
- 30.7 deg, 2.911 Å, intensity 19.1
- 31.1 deg, 2.873 Å, intensity 20.9
- 32.0 deg, 2.797 Å, intensity 100.0
- 33.7 deg, 2.663 Å, intensity 57.9
- 35.9 deg, 2.504 Å, intensity 26.3
- 36.0 deg, 2.493 Å, intensity 49.0
- 51.7 deg, 1.767 Å, intensity 18.9
- 62.3 deg, 1.491 Å, intensity 14.9
- 63.4 deg, 1.467 Å, intensity 14.4

Record 5
Sm5Y2Sn5: computed PXRD pattern (Cu Kα), based on a DFT-relaxed cell (PBE, Alexandria).

Structural model:
a b c (Å): 7.7317 7.7317 12.7652
angles (deg): 108.57 108.57 33.23
Positions (direct):
Sm 0.0000 0.0000 0.0000
Sm 0.1596 0.1596 0.5407
Sm 0.2268 0.2268 0.8451
Sm 0.7732 0.7732 0.1549
Sm 0.8404 0.8404 0.4593
Y 0.4499 0.4499 0.7146
Y 0.5501 0.5501 0.2854
Sn 0.1968 0.1968 0.2951
Sn 0.3839 0.3839 0.0726
Sn 0.5000 0.5000 0.5000
Sn 0.6161 0.6161 0.9274
Sn 0.8032 0.8032 0.7049

Peak list (10 most intense, 2θ = 15–90°, low angle first)
- 27.1 deg, 3.293 Å, intensity 100.0
- 27.8 deg, 3.207 Å, intensity 51.7
- 28.4 deg, 3.145 Å, intensity 80.8
- 29.1 deg, 3.067 Å, intensity 71.2
- 30.4 deg, 2.936 Å, intensity 55.0
- 31.5 deg, 2.842 Å, intensity 82.1
- 34.8 deg, 2.575 Å, intensity 54.8
- 38.4 deg, 2.342 Å, intensity 44.3
- 40.3 deg, 2.237 Å, intensity 45.0
- 40.8 deg, 2.211 Å, intensity 67.3

Record 6
Pr6Nd2Er3: computed PXRD pattern (Cu Kα), based on a DFT-relaxed cell (PBE, Alexandria).

Structural model:
a b c (Å): 5.1503 6.3384 13.1593
angles (deg): 76.17 78.85 66.03
Positions (direct):
Pr 0.0441 0.2294 0.1834
Pr 0.2265 0.1372 0.9092
Pr 0.4082 0.0514 0.6330
Pr 0.5918 0.9486 0.3670
Pr 0.7735 0.8628 0.0908
Pr 0.9559 0.7706 0.8166
Nd 0.3194 0.5854 0.2752
Nd 0.6806 0.4146 0.7248
Er 0.1370 0.6820 0.5440
Er 0.5000 0.5000 0.0000
Er 0.8630 0.3180 0.4560

Peak list (10 most intense, 2θ = 15–90°, low angle first)
- 30.0 deg, 2.982 Å, intensity 100.0
- 34.7 deg, 2.586 Å, intensity 33.9
- 34.8 deg, 2.575 Å, intensity 16.8
- 49.8 deg, 1.831 Å, intensity 6.1
- 50.0 deg, 1.826 Å, intensity 24.2
- 59.2 deg, 1.560 Å, intensity 14.5
- 59.3 deg, 1.558 Å, intensity 10.8
- 59.4 deg, 1.555 Å, intensity 14.3
- 62.2 deg, 1.492 Å, intensity 9.3
- 81.2 deg, 1.185 Å, intensity 8.8

Record 7
LiH4Pd: computed PXRD pattern (Cu Kα), based on a DFT-relaxed cell (PBE, Alexandria).

Structural model:
a b c (Å): 5.2968 5.2968 4.7218
angles (deg): 93.32 93.32 50.14
Positions (direct):
Li 0.2457 0.2457 0.2484
Li 0.7543 0.7543 0.7516
H 0.1493 0.6298 0.4872
H 0.2447 0.7553 0.0000
H 0.2646 0.2646 0.8307
H 0.3702 0.8507 0.5128
H 0.6298 0.1493 0.4872
H 0.7354 0.7354 0.1693
H 0.7553 0.2447 0.0000
H 0.8507 0.3702 0.5128
Pd 0.4276 0.4276 0.7389
Pd 0.5724 0.5724 0.2611

Peak list (10 most intense, 2θ = 15–90°, low angle first)
- 18.5 deg, 4.788 Å, intensity 29.8
- 21.9 deg, 4.064 Å, intensity 100.0
- 25.7 deg, 3.471 Å, intensity 23.3
- 27.4 deg, 3.256 Å, intensity 24.2
- 29.4 deg, 3.037 Å, intensity 12.7
- 38.2 deg, 2.356 Å, intensity 14.5
- 38.7 deg, 2.329 Å, intensity 27.5
- 40.2 deg, 2.244 Å, intensity 13.0
- 40.5 deg, 2.229 Å, intensity 25.6
- 43.9 deg, 2.063 Å, intensity 18.8

Record 8
LiS3Br3: computed PXRD pattern (Cu Kα), based on a DFT-relaxed cell (PBE, Alexandria).

Structural model:
a b c (Å): 7.0577 8.8655 8.9557
angles (deg): 108.86 100.18 98.07
Positions (direct):
Li 0.0880 0.4654 0.3497
Li 0.9120 0.5346 0.6503
S 0.3081 0.1039 0.2010
S 0.3529 0.9472 0.0056
S 0.4460 0.9283 0.3798
S 0.5540 0.0717 0.6202
S 0.6471 0.0528 0.9944
S 0.6919 0.8961 0.7990
Br 0.1518 0.7926 0.4006
Br 0.1649 0.3031 0.0939
Br 0.2027 0.4054 0.6000
Br 0.7973 0.5946 0.4000
Br 0.8351 0.6969 0.9061
Br 0.8482 0.2074 0.5994

Peak list (10 most intense, 2θ = 15–90°, low angle first)
- 18.7 deg, 4.757 Å, intensity 51.3
- 19.0 deg, 4.672 Å, intensity 53.0
- 20.4 deg, 4.355 Å, intensity 91.5
- 22.8 deg, 3.893 Å, intensity 100.0
- 26.2 deg, 3.396 Å, intensity 30.2
- 27.1 deg, 3.294 Å, intensity 38.8
- 27.5 deg, 3.244 Å, intensity 53.0
- 28.2 deg, 3.168 Å, intensity 42.2
- 28.8 deg, 3.099 Å, intensity 27.3
- 35.1 deg, 2.555 Å, intensity 32.2